Record 1
Simulated powder diffractogram of DyTh3O8 for Cu Ka, from the GGA-PBE geometry in Alexandria.
Intensities are scaled so that the largest is 100.

Principal peaks in the range 5° ≤ 2θ ≤ 70°, most intense first:
27.72 deg, d = 3.218 Å, rel. 100.0, hkl 1 1 1; 46.06 deg, d = 1.971 Å, rel. 50.8, hkl 2 2 0; 54.61 deg, d = 1.681 Å, rel. 47.4, hkl 3 1 1; 32.12 deg, d = 2.787 Å, rel. 35.9, hkl 2 0 0; 57.26 deg, d = 1.609 Å, rel. 10.4, hkl 2 2 2; 67.18 deg, d = 1.393 Å, rel. 8.0, hkl 4 0 0

Structure:
abc: 5.574 5.574 5.574
angles: 90.00 90.00 90.00
Space group Pm-3m (No. 221)
Asymmetric unit:
Dy  0.000  0.000  0.000 [1 per cell]
Th  0.000  0.500  0.500 [3 per cell]
O  0.249  0.249  0.249 [8 per cell]

Record 2
Simulated powder diffractogram of DyThO4 for Cu Ka, from the GGA-PBE geometry in Alexandria.
Intensities are scaled so that the largest is 100.

Principal peaks in the range 5° ≤ 2θ ≤ 70°, most intense first:
27.96 deg, d = 3.191 Å, rel. 100.0, hkl 1 0 1; 46.72 deg, d = 1.944 Å, rel. 33.7, hkl 1 1 2; 54.68 deg, d = 1.679 Å, rel. 31.9, hkl 2 1 1; 32.06 deg, d = 2.791 Å, rel. 23.7, hkl 1 1 0; 45.98 deg, d = 1.974 Å, rel. 17.7, hkl 2 0 0; 55.97 deg, d = 1.643 Å, rel. 14.9, hkl 1 0 3

Structure:
abc: 3.948 3.948 5.420
angles: 90.00 90.00 90.00
Space group P4/mmm (No. 123)
Asymmetric unit:
Dy  0.000  0.000  0.000 [1 per cell]
Th  0.500  0.500  0.500 [1 per cell]
O  0.000  0.500  0.247 [4 per cell]

Record 3
Simulated powder diffractogram of Dy4Ti6O19 for Cu Ka, from the GGA-PBE geometry in Alexandria.
Intensities are scaled so that the largest is 100.

Principal peaks in the range 5° ≤ 2θ ≤ 70°, most intense first:
24.24 deg, d = 3.672 Å, rel. 100.0, hkl 2 1 1; 31.45 deg, d = 2.844 Å, rel. 52.1, hkl 3 0 1; 42.65 deg, d = 2.120 Å, rel. 41.7, hkl 3 3 0; 56.00 deg, d = 1.642 Å, rel. 35.3, hkl 5 2 1; 34.54 deg, d = 2.596 Å, rel. 29.2, hkl 2 2 2; 51.83 deg, d = 1.764 Å, rel. 26.4, hkl 4 3 1

Structure:
abc: 8.994 8.994 8.994
angles: 90.00 90.00 90.00
Space group I23 (No. 197)
Asymmetric unit:
Dy  0.148  0.148  0.148 [8 per cell]
Ti  0.000  0.161  0.500 [12 per cell]
O  0.000  0.000  0.000 [2 per cell]
O  0.000  0.000  0.351 [12 per cell]
O  0.038  0.286  0.324 [24 per cell]